This entry pairs a crystal structure of Ba2ScTcS6 with its theoretical powder X-ray diffraction pattern. Radiation: Cu Kα (weighted mean of Kα1 and Kα2). Structure: a DFT-relaxed cell (PBE, OQMD).
Lines closer than 0.1° are merged.

Structure:
```
data_Ba2ScTcS6
_chemical_formula_sum 'Ba4 Sc2 Tc2 S12'
_cell_length_a 11.976
_cell_length_b 6.914
_cell_length_c 6.914
_cell_angle_alpha 90.00
_cell_angle_beta 125.27
_cell_angle_gamma 90.00
_space_group_name_H-M_alt 'C 1 2/m 1'
_space_group_IT_number 12
_space_group_name_Hall '-C 2y'
loop_
_atom_site_label
_atom_site_type_symbol
_atom_site_fract_x
_atom_site_fract_y
_atom_site_fract_z
Ba1 Ba 0.250 0.000 0.250
Sc1 Sc 0.000 0.000 0.500
Tc1 Tc 0.000 0.500 0.000
S1 S 0.001 0.256 0.757
S2 S 0.244 0.500 0.245
```

Largest 6 diffraction maxima, by angle, 15 to 90 degrees two-theta:
2θ/deg	I (rel.)
25.77	1000
31.70	338
36.77	612
45.44	431
52.98	403
72.32	218

---

This entry pairs a crystal structure of KTa4ClO5 with its theoretical powder X-ray diffraction pattern. Radiation: Cu Kα (weighted mean of Kα1 and Kα2). Structure: a DFT-relaxed cell (PBE, OQMD).
Lines closer than 0.1° are merged.

Structure:
```
data_KTa4ClO5
_chemical_formula_sum 'K1 Ta4 Cl1 O5'
_cell_length_a 4.174
_cell_length_b 4.174
_cell_length_c 9.114
_cell_angle_alpha 90.00
_cell_angle_beta 90.00
_cell_angle_gamma 90.00
_space_group_name_H-M_alt 'P 4/m m m'
_space_group_IT_number 123
_space_group_name_Hall '-P 4 2'
loop_
_atom_site_label
_atom_site_type_symbol
_atom_site_fract_x
_atom_site_fract_y
_atom_site_fract_z
K1 K 0.000 0.000 0.000
Ta1 Ta 0.000 0.500 0.500
Ta2 Ta 0.500 0.500 0.283
Cl1 Cl 0.500 0.500 0.000
O1 O 0.000 0.000 0.500
O2 O 0.000 0.500 0.269
```

Largest 6 diffraction maxima, by angle, 15 to 90 degrees two-theta:
2θ/deg	I (rel.)
21.29	772
29.01	788
31.87	628
36.26	1000
42.71	829
43.36	821

---

Copy entry 2 word for word.
This entry pairs a crystal structure of KTa4ClO5 with its theoretical powder X-ray diffraction pattern. Radiation: Cu Kα (weighted mean of Kα1 and Kα2). Structure: a DFT-relaxed cell (PBE, OQMD).
Lines closer than 0.1° are merged.

Structure:
```
data_KTa4ClO5
_chemical_formula_sum 'K1 Ta4 Cl1 O5'
_cell_length_a 4.174
_cell_length_b 4.174
_cell_length_c 9.114
_cell_angle_alpha 90.00
_cell_angle_beta 90.00
_cell_angle_gamma 90.00
_space_group_name_H-M_alt 'P 4/m m m'
_space_group_IT_number 123
_space_group_name_Hall '-P 4 2'
loop_
_atom_site_label
_atom_site_type_symbol
_atom_site_fract_x
_atom_site_fract_y
_atom_site_fract_z
K1 K 0.000 0.000 0.000
Ta1 Ta 0.000 0.500 0.500
Ta2 Ta 0.500 0.500 0.283
Cl1 Cl 0.500 0.500 0.000
O1 O 0.000 0.000 0.500
O2 O 0.000 0.500 0.269
```

Largest 6 diffraction maxima, by angle, 15 to 90 degrees two-theta:
2θ/deg	I (rel.)
21.29	772
29.01	788
31.87	628
36.26	1000
42.71	829
43.36	821